Simulated powder diffraction line list of Dy2CoTe2S2O14 for Cu Kα X-rays, from the GGA+U geometry in the Materials Project.

Peak list (6 most intense, 2θ = 10–90°, low angle first)
two_theta	intensity
13.29	451
24.43	1000
25.02	750
26.26	330
30.04	477
35.44	268

```
data_Dy2CoTe2S2O14
_chemical_formula_sum 'Dy2 Co1 Te2 S2 O14'
_symmetry_space_group_name_H-M 'P -1'
_symmetry_Int_Tables_number 2
_symmetry_space_group_name_Hall '-P 1'
_cell_length_a 5.301
_cell_length_b 7.919
_cell_length_c 8.200
_cell_angle_alpha 64.24
_cell_angle_beta 73.07
_cell_angle_gamma 85.71
loop_
_atom_site_label
_atom_site_fract_x
_atom_site_fract_y
_atom_site_fract_z
Dy1 0.085 0.252 0.016
Co1 0.000 0.000 0.500
Te1 0.482 0.728 0.663
S1 0.233 0.755 0.249
O1 0.095 0.595 0.254
O2 0.131 0.775 0.427
O3 0.177 0.925 0.087
O4 0.245 0.562 0.896
O5 0.247 0.923 0.669
O6 0.277 0.192 0.249
O7 0.479 0.271 0.786
```

Simulated powder diffraction line list of SrDyCoO4 for Cu Kα X-rays, from the GGA+U geometry in the Materials Project.

Peak list (6 most intense, 2θ = 10–90°, low angle first)
two_theta	intensity
24.64	202
32.24	1000
33.37	366
33.68	357
48.15	366
58.94	183

```
data_SrDyCoO4
_chemical_formula_sum 'Sr4 Dy4 Co4 O16'
_symmetry_space_group_name_H-M 'C m c m'
_symmetry_Int_Tables_number 63
_symmetry_space_group_name_Hall '-C 2c 2'
_cell_length_a 5.322
_cell_length_b 12.272
_cell_length_c 5.369
_cell_angle_alpha 90.00
_cell_angle_beta 90.00
_cell_angle_gamma 90.00
loop_
_atom_site_label
_atom_site_fract_x
_atom_site_fract_y
_atom_site_fract_z
Sr1 0.000 0.104 0.250
Dy1 0.000 0.386 0.250
Co1 0.000 0.250 0.750
O1 0.000 0.090 0.750
O2 0.000 0.434 0.750
O3 0.250 0.250 0.000
```

Simulated powder diffraction line list of EuMgCoO3 for Cu Kα X-rays, from the GGA+U geometry in the Materials Project.

Peak list (6 most intense, 2θ = 10–90°, low angle first)
two_theta	intensity
25.33	817
26.29	1000
32.73	487
41.83	497
46.96	285
54.10	363

```
data_EuMgCoO3
_chemical_formula_sum 'Eu1 Mg1 Co1 O3'
_symmetry_space_group_name_H-M 'P 4/m m m'
_symmetry_Int_Tables_number 123
_symmetry_space_group_name_Hall '-P 4 2'
_cell_length_a 3.870
_cell_length_b 3.870
_cell_length_c 7.033
_cell_angle_alpha 90.00
_cell_angle_beta 90.00
_cell_angle_gamma 90.00
loop_
_atom_site_label
_atom_site_fract_x
_atom_site_fract_y
_atom_site_fract_z
Eu1 0.000 0.000 0.000
Mg1 0.000 0.000 0.500
Co1 0.500 0.500 0.500
O1 0.000 0.500 0.500
O2 0.500 0.500 0.000
```

Simulated powder diffraction line list of Eu2Co2O5 for Cu Kα X-rays, from the GGA+U geometry in the Materials Project.

Peak list (6 most intense, 2θ = 10–90°, low angle first)
two_theta	intensity
22.85	188
32.54	441
33.05	1000
40.56	219
46.68	282
58.39	384

```
data_Eu2Co2O5
_chemical_formula_sum 'Eu2 Co2 O5'
_symmetry_space_group_name_H-M 'P 4/m m m'
_symmetry_Int_Tables_number 123
_symmetry_space_group_name_Hall '-P 4 2'
_cell_length_a 3.891
_cell_length_b 3.891
_cell_length_c 7.553
_cell_angle_alpha 90.00
_cell_angle_beta 90.00
_cell_angle_gamma 90.00
loop_
_atom_site_label
_atom_site_fract_x
_atom_site_fract_y
_atom_site_fract_z
Eu1 0.000 0.000 0.000
Eu2 0.000 0.000 0.500
Co1 0.500 0.500 0.239
O1 0.000 0.500 0.211
O2 0.500 0.500 0.500
```

Simulated powder diffraction line list of Eu2Co2O5 for Cu Kα X-rays, from the GGA+U geometry in the Materials Project.

Peak list (6 most intense, 2θ = 10–90°, low angle first)
two_theta	intensity
22.89	245
31.55	316
32.71	1000
33.62	333
46.77	272
59.54	186

```
data_Eu2Co2O5
_chemical_formula_sum 'Eu8 Co8 O20'
_symmetry_space_group_name_H-M 'I m a 2'
_symmetry_Int_Tables_number 46
_symmetry_space_group_name_Hall 'I 2 -2a'
_cell_length_a 15.437
_cell_length_b 5.672
_cell_length_c 5.332
_cell_angle_alpha 90.00
_cell_angle_beta 90.00
_cell_angle_gamma 90.00
loop_
_atom_site_label
_atom_site_fract_x
_atom_site_fract_y
_atom_site_fract_z
Eu1 0.110 0.025 0.000
Co1 0.000 0.000 0.491
Co2 0.250 0.567 0.036
O1 0.016 0.746 0.244
O2 0.138 0.071 0.465
O3 0.250 0.604 0.415
```

Simulated powder diffraction line list of Eu2CoPtO6 for Cu Kα X-rays, from the GGA+U geometry in the Materials Project.

Peak list (6 most intense, 2θ = 10–90°, low angle first)
two_theta	intensity
30.95	222
32.22	1000
32.64	249
45.60	200
46.82	129
58.09	162

```
data_Eu2CoPtO6
_chemical_formula_sum 'Eu4 Co2 Pt2 O12'
_symmetry_space_group_name_H-M 'P 1 21/c 1'
_symmetry_Int_Tables_number 14
_symmetry_space_group_name_Hall '-P 2ybc'
_cell_length_a 5.486
_cell_length_b 5.778
_cell_length_c 9.491
_cell_angle_alpha 90.00
_cell_angle_beta 125.13
_cell_angle_gamma 90.00
loop_
_atom_site_label
_atom_site_fract_x
_atom_site_fract_y
_atom_site_fract_z
Eu1 0.231 0.061 0.248
Co1 0.000 0.000 0.500
Pt1 0.500 0.000 0.000
O1 0.150 0.194 0.953
O2 0.255 0.706 0.946
O3 0.351 0.036 0.750
```

Simulated powder diffraction line list of Eu2CoRuO6 for Cu Kα X-rays, from the GGA+U geometry in the Materials Project.

Peak list (6 most intense, 2θ = 10–90°, low angle first)
two_theta	intensity
30.91	396
32.10	1000
32.33	994
32.78	513
45.67	373
57.95	330

```
data_Eu2CoRuO6
_chemical_formula_sum 'Eu4 Co2 Ru2 O12'
_symmetry_space_group_name_H-M 'P 1 21/c 1'
_symmetry_Int_Tables_number 14
_symmetry_space_group_name_Hall '-P 2ybc'
_cell_length_a 5.465
_cell_length_b 5.786
_cell_length_c 9.462
_cell_angle_alpha 90.00
_cell_angle_beta 124.74
_cell_angle_gamma 90.00
loop_
_atom_site_label
_atom_site_fract_x
_atom_site_fract_y
_atom_site_fract_z
Eu1 0.232 0.067 0.249
Co1 0.000 0.000 0.500
Ru1 0.500 0.000 0.000
O1 0.155 0.189 0.954
O2 0.262 0.709 0.947
O3 0.351 0.030 0.754
```

Simulated powder diffraction line list of SmEuCo4O12 for Cu Kα X-rays, from the GGA+U geometry in the Materials Project.

Peak list (6 most intense, 2θ = 10–90°, low angle first)
two_theta	intensity
20.64	1000
33.96	741
34.15	365
40.23	362
49.06	290
61.01	274

```
data_SmEuCo4O12
_chemical_formula_sum 'Sm1 Eu1 Co4 O12'
_symmetry_space_group_name_H-M 'P 4/m m m'
_symmetry_Int_Tables_number 123
_symmetry_space_group_name_Hall '-P 4 2'
_cell_length_a 5.252
_cell_length_b 5.252
_cell_length_c 7.505
_cell_angle_alpha 90.00
_cell_angle_beta 90.00
_cell_angle_gamma 90.00
loop_
_atom_site_label
_atom_site_fract_x
_atom_site_fract_y
_atom_site_fract_z
Sm1 0.000 0.000 0.000
Eu1 0.500 0.500 0.500
Co1 0.000 0.500 0.252
O1 0.000 0.500 0.000
O2 0.000 0.500 0.500
O3 0.248 0.248 0.248
```

Simulated powder diffraction line list of SrEuCo2O6 for Cu Kα X-rays, from the GGA+U geometry in the Materials Project.

Peak list (6 most intense, 2θ = 10–90°, low angle first)
two_theta	intensity
33.23	1000
33.45	491
41.09	224
48.03	327
59.23	197
59.65	370

```
data_SrEuCo2O6
_chemical_formula_sum 'Sr1 Eu1 Co2 O6'
_symmetry_space_group_name_H-M 'P 4/m m m'
_symmetry_Int_Tables_number 123
_symmetry_space_group_name_Hall '-P 4 2'
_cell_length_a 3.789
_cell_length_b 3.789
_cell_length_c 7.676
_cell_angle_alpha 90.00
_cell_angle_beta 90.00
_cell_angle_gamma 90.00
loop_
_atom_site_label
_atom_site_fract_x
_atom_site_fract_y
_atom_site_fract_z
Sr1 0.000 0.000 0.000
Eu1 0.000 0.000 0.500
Co1 0.500 0.500 0.247
O1 0.000 0.500 0.271
O2 0.500 0.500 0.000
O3 0.500 0.500 0.500
```

Simulated powder diffraction line list of SrEuCo4O12 for Cu Kα X-rays, from the GGA+U geometry in the Materials Project.

Peak list (6 most intense, 2θ = 10–90°, low angle first)
two_theta	intensity
20.06	749
33.04	1000
38.96	413
47.40	297
59.02	378
69.33	246

```
data_SrEuCo4O12
_chemical_formula_sum 'Sr1 Eu1 Co4 O12'
_symmetry_space_group_name_H-M 'P 4/m m m'
_symmetry_Int_Tables_number 123
_symmetry_space_group_name_Hall '-P 4 2'
_cell_length_a 5.425
_cell_length_b 5.425
_cell_length_c 7.657
_cell_angle_alpha 90.00
_cell_angle_beta 90.00
_cell_angle_gamma 90.00
loop_
_atom_site_label
_atom_site_fract_x
_atom_site_fract_y
_atom_site_fract_z
Sr1 0.000 0.000 0.000
Eu1 0.500 0.500 0.500
Co1 0.000 0.500 0.244
O1 0.000 0.500 0.000
O2 0.000 0.500 0.500
O3 0.257 0.257 0.258
```

Simulated powder diffraction line list of SrEuCo2O6 for Cu Kα X-rays, from the GGA+U geometry in the Materials Project.

Peak list (6 most intense, 2θ = 10–90°, low angle first)
two_theta	intensity
29.31	1000
41.93	361
51.98	405
60.80	218
68.91	173
84.04	205

```
data_SrEuCo2O6
_chemical_formula_sum 'Sr4 Eu4 Co8 O24'
_symmetry_space_group_name_H-M 'P m -3 m'
_symmetry_Int_Tables_number 221
_symmetry_space_group_name_Hall '-P 4 2 3'
_cell_length_a 8.618
_cell_length_b 8.618
_cell_length_c 8.618
_cell_angle_alpha 90.00
_cell_angle_beta 90.00
_cell_angle_gamma 90.00
loop_
_atom_site_label
_atom_site_fract_x
_atom_site_fract_y
_atom_site_fract_z
Sr1 0.000 0.000 0.000
Sr2 0.000 0.000 0.500
Eu1 0.000 0.500 0.500
Eu2 0.500 0.500 0.500
Co1 0.249 0.249 0.249
O1 0.000 0.251 0.251
O2 0.251 0.251 0.500
```